Starting from the GGA-PBE geometry in the Materials Project, the X-ray powder pattern of Hf4TiPb5O15 was simulated for Cu Kα.

Atomic structure:
```
data_Hf4TiPb5O15
_chemical_formula_sum 'Hf4 Ti1 Pb5 O15'
_cell_length_a 8.2413
_cell_length_b 8.4183
_cell_length_c 10.6815
_cell_angle_alpha 108.01
_cell_angle_beta 95.93
_cell_angle_gamma 100.22
_space_group_name_H-M_alt 'P 1'
_space_group_IT_number 1
loop_
_space_group_symop_operation_xyz
'x,y,z'
loop_
_atom_site_label
_atom_site_type_symbol
_atom_site_fract_x
_atom_site_fract_y
_atom_site_fract_z
Hf1 Hf 0.0000 0.0000 0.0000
Hf2 Hf 0.1955 0.7987 0.4029
Hf3 Hf 0.3972 0.6011 0.8034
Hf4 Hf 0.5990 0.4028 0.1989
Ti1 Ti 0.8641 0.1889 0.6231
Pb1 Pb 0.1784 0.1381 0.7277
Pb2 Pb 0.3746 0.9406 0.1298
Pb3 Pb 0.5703 0.7376 0.5243
Pb4 Pb 0.7697 0.5391 0.9235
Pb5 Pb 0.9669 0.3370 0.3248
O1 O 0.0823 0.1367 0.1806
O2 O 0.1751 0.0502 0.9036
O3 O 0.1878 0.5721 0.4005
O4 O 0.2748 0.9395 0.5857
O5 O 0.3692 0.8418 0.3064
O6 O 0.3833 0.3701 0.8001
O7 O 0.4824 0.7387 0.9838
O8 O 0.5707 0.6518 0.7096
O9 O 0.5916 0.1747 0.1956
O10 O 0.6848 0.5448 0.3783
O11 O 0.7753 0.4480 0.1047
O12 O 0.7883 0.9682 0.5980
O13 O 0.8823 0.3424 0.7853
O14 O 0.9754 0.2486 0.5045
O15 O 0.9922 0.7725 0.9967
```

Largest 12 diffraction maxima, by angle, 10° ≤ 2θ ≤ 80°:
(hkl)	d (Å)	I (rel.)
-1 1 1	5.051	100.0
1 0 2	3.950	20.3
2 -1 1	3.659	37.3
0 2 1	3.284	80.4
3 -2 0	2.472	22.5
2 1 2	2.444	74.4
-1 3 2	2.110	20.3
2 -4 2	1.975	12.9
1 4 -1	1.896	17.6
1 -5 2	1.683	20.7
5 0 0	1.599	12.3
2 3 3	1.499	11.4